Calculated powder X-ray diffraction pattern
Compound: PrPa3S4
Radiation: a wavelength of 1.5418 Å
Structure: a DFT-relaxed cell (PBE, Alexandria)
Intensities are scaled so that the largest is 100.

The 12 most intense peaks (10 to 80 degrees two-theta), by intensity:
- 2θ 32.18, I 100, (2 0 1)
- 2θ 27.10, I 81, (2 2 0)
- 2θ 46.08, I 74, (2 4 1)
- 2θ 28.37, I 70, (0 2 1)
- 2θ 32.08, I 50, (0 4 0)
- 2θ 53.62, I 26, (4 2 1)
- 2θ 55.78, I 23, (2 2 2)
- 2θ 55.90, I 21, (4 4 0)
- 2θ 44.50, I 20, (4 0 0)
- 2θ 58.70, I 18, (0 4 2)
- 2θ 47.77, I 17, (0 0 2)
- 2θ 76.37, I 17, (2 8 1)

Crystal structure
Unit cell a=8.145 b=11.162 c=3.808 alpha=90.00 beta=90.00 gamma=90.00
Space group Cmmm (No. 65)
Symmetry-distinct sites (fractional):
Pr  0.000  0.000  0.000
Pa  0.000  0.500  0.000
Pa  0.250  0.250  0.500
S  0.000  0.253  0.000
S  0.243  0.500  0.500